1.
# Na2Ga2Pb
Simulated PXRD pattern, a wavelength of 1.5418 Å. Input: a structure optimized by DFT (GGA-PBE).
Peak positions follow from Bragg's law for the DFT cell and can differ from measured ones.

Atomic structure:
Cell lengths 7.550, 7.550, 7.550 Å; angles 146.92, 146.92, 47.49 degrees
Sites, in units of the cell vectors:
Na 0.250 0.750 0.500
Na 0.750 0.250 0.500
Ga 0.091 0.091 0.000
Ga 0.909 0.909 0.000
Pb 0.500 0.500 0.000

Principal peaks in the range 2θ = 10–90°, by angle:
2θ/deg  d [Å]  I (rel.)
12.81  6.910  99
28.40  3.143  70
29.38  3.040  58
32.17  2.783  100
38.73  2.325  73
42.03  2.149  39
50.89  1.794  26
51.51  1.774  28
58.48  1.578  44
68.07  1.377  21

2.
# NaGaPb
Simulated PXRD pattern, a wavelength of 1.5418 Å. Input: a structure optimized by DFT (GGA-PBE).
Peak positions follow from Bragg's law for the DFT cell and can differ from measured ones.

Atomic structure:
Cell lengths 5.436, 5.710, 6.089 Å; angles 63.06, 89.03, 89.98 degrees
Sites, in units of the cell vectors:
Na 0.000 0.000 0.000
Na 0.181 0.325 0.346
Ga 0.683 0.996 0.521
Ga 0.684 0.481 0.522
Pb 0.183 0.680 0.644
Pb 0.667 0.493 0.015

Principal peaks in the range 2θ = 10–90°, by angle:
2θ/deg  d [Å]  I (rel.)
16.32  5.430  41
17.42  5.090  94
17.68  5.016  94
24.05  3.701  42
32.98  2.716  100
33.20  2.699  41
33.64  2.664  77
34.09  2.630  36
38.95  2.312  36
39.21  2.298  35

3.
# NaGaPb
Simulated PXRD pattern, a wavelength of 1.5418 Å. Input: a structure optimized by DFT (GGA-PBE).
Peak positions follow from Bragg's law for the DFT cell and can differ from measured ones.

Atomic structure:
Cell lengths 4.371, 4.371, 8.070 Å; angles 90.00, 90.00, 90.00 degrees
Sites, in units of the cell vectors:
Na 0.250 0.750 0.000
Na 0.750 0.250 0.000
Ga 0.250 0.250 0.275
Ga 0.750 0.750 0.725
Pb 0.250 0.250 0.634
Pb 0.750 0.750 0.366

Principal peaks in the range 2θ = 10–90°, by angle:
2θ/deg  d [Å]  I (rel.)
10.96  8.070  100
23.14  3.844  32
28.88  3.091  98
30.14  2.965  88
30.98  2.887  75
39.33  2.291  45
41.31  2.186  54
44.66  2.029  30
51.98  1.759  40
58.35  1.581  28

Question: What is the formula in the second record?
Answer: NaGaPb